[1]
Starting from a DFT-relaxed cell (PBE, Alexandria), the powder X-ray diffraction pattern of Mn2CoOs was calculated for Cu Kα (weighted mean of Kα1 and Kα2).
Intensities are scaled so that the largest is 100.

Top 8 peaks for 2θ = 10–90°, most intense first:
d (Å)	Position (°2θ)	I (rel.)
2.097	43.13	100
2.025	44.76	76
1.994	45.49	48
4.730	18.76	38
3.016	29.61	38
1.958	46.37	35
1.397	66.98	30
3.916	22.71	27

Crystal structure
Lattice parameters (Å, degrees): 3.916 2.574 9.461 90.00 90.00 90.00
Fractional positions:
Mn (0.000, 0.000, 0.000)
Mn (0.000, 0.500, 0.500)
Mn (0.500, 0.000, 0.124)
Mn (0.500, 0.500, 0.624)
Co (0.500, 0.000, 0.388)
Co (0.500, 0.500, 0.888)
Os (0.000, 0.000, 0.742)
Os (0.000, 0.500, 0.242)

=====

[2]
Starting from a DFT-relaxed cell (PBE, Alexandria), the powder X-ray diffraction pattern of MnCoOs2 was calculated for Cu Kα (weighted mean of Kα1 and Kα2).
Intensities are scaled so that the largest is 100.

Top 8 peaks for 2θ = 10–90°, most intense first:
d (Å)	Position (°2θ)	I (rel.)
2.142	42.19	100
3.319	26.86	44
1.856	49.08	32
1.312	71.99	30
1.119	87.08	25
1.853	49.18	16
1.118	87.23	12
2.056	44.03	12

Crystal structure
Lattice parameters (Å, degrees): 3.712 3.712 7.410 90.00 90.00 90.00
Fractional positions:
Mn (0.000, 0.000, 0.000)
Mn (0.500, 0.500, 0.500)
Co (0.000, 0.500, 0.250)
Co (0.500, 0.000, 0.750)
Os (0.000, 0.000, 0.500)
Os (0.000, 0.500, 0.750)
Os (0.500, 0.000, 0.250)
Os (0.500, 0.500, 0.000)

=====

[3]
Starting from a DFT-relaxed cell (PBE, Alexandria), the powder X-ray diffraction pattern of MnCoOsPb2 was calculated for Cu Kα (weighted mean of Kα1 and Kα2).
Intensities are scaled so that the largest is 100.

Top 8 peaks for 2θ = 10–90°, most intense first:
d (Å)	Position (°2θ)	I (rel.)
2.615	34.29	100
4.748	18.69	95
2.291	39.33	62
2.918	30.64	62
1.758	52.02	62
5.231	16.95	40
2.374	37.90	38
1.849	49.28	36

Crystal structure
Lattice parameters (Å, degrees): 5.231 5.231 4.748 90.00 90.00 90.00
Fractional positions:
Mn (0.000, 0.000, 0.000)
Co (0.500, 0.500, 0.000)
Os (0.500, 0.500, 0.500)
Pb (0.000, 0.500, 0.500)
Pb (0.500, 0.000, 0.500)

=====

[4]
Starting from a DFT-relaxed cell (PBE, Alexandria), the powder X-ray diffraction pattern of MnCo2P was calculated for Cu Kα (weighted mean of Kα1 and Kα2).
Intensities are scaled so that the largest is 100.

Top 8 peaks for 2θ = 10–90°, most intense first:
d (Å)	Position (°2θ)	I (rel.)
1.952	46.51	100
2.007	45.17	30
2.036	44.49	21
1.148	84.35	19
2.249	40.09	19
1.430	65.27	12
1.117	87.25	9
1.112	87.74	8

Crystal structure
Lattice parameters (Å, degrees): 2.673 4.015 8.145 90.00 90.00 90.00
Fractional positions:
Mn (0.000, 0.000, 0.000)
Mn (0.500, 0.500, 0.500)
Co (0.000, 0.500, 0.217)
Co (0.000, 0.500, 0.783)
Co (0.500, 0.000, 0.283)
Co (0.500, 0.000, 0.717)
P (0.000, 0.000, 0.500)
P (0.500, 0.500, 0.000)

=====

[5]
Starting from a DFT-relaxed cell (PBE, Alexandria), the powder X-ray diffraction pattern of Pa2MnCo12P3 was calculated for Cu Kα (weighted mean of Kα1 and Kα2).
Intensities are scaled so that the largest is 100.

Top 8 peaks for 2θ = 10–90°, most intense first:
d (Å)	Position (°2θ)	I (rel.)
2.047	44.25	100
2.866	31.21	59
6.110	14.50	48
2.295	39.26	39
4.014	22.14	28
2.037	44.48	23
1.182	81.43	22
1.824	50.02	20

Crystal structure
Lattice parameters (Å, degrees): 6.202 6.202 6.202 82.62 82.62 82.62
Fractional positions:
Pa (0.141, 0.141, 0.141)
Pa (0.859, 0.859, 0.859)
Mn (0.500, 0.500, 0.500)
Co (0.126, 0.126, 0.603)
Co (0.126, 0.603, 0.126)
Co (0.170, 0.686, 0.686)
Co (0.314, 0.314, 0.830)
Co (0.314, 0.830, 0.314)
Co (0.397, 0.874, 0.874)
Co (0.603, 0.126, 0.126)
Co (0.686, 0.170, 0.686)
Co (0.686, 0.686, 0.170)
Co (0.830, 0.314, 0.314)
Co (0.874, 0.397, 0.874)
Co (0.874, 0.874, 0.397)
P (0.000, 0.500, 0.500)
P (0.500, 0.000, 0.500)
P (0.500, 0.500, 0.000)

=====

[6]
Starting from a DFT-relaxed cell (PBE, Alexandria), the powder X-ray diffraction pattern of MnCoPSe was calculated for Cu Kα (weighted mean of Kα1 and Kα2).
Intensities are scaled so that the largest is 100.

Top 8 peaks for 2θ = 10–90°, most intense first:
d (Å)	Position (°2θ)	I (rel.)
2.301	39.15	100
2.099	43.10	76
5.492	16.14	43
1.627	56.56	32
1.764	51.84	29
2.746	32.61	29
1.286	73.67	28
1.596	57.78	23

Crystal structure
Lattice parameters (Å, degrees): 3.254 3.254 5.492 90.00 90.00 90.00
Fractional positions:
Mn (0.000, 0.000, 0.000)
Co (0.500, 0.500, 0.707)
P (0.500, 0.500, 0.107)
Se (0.000, 0.000, 0.558)